No. 1
The following is a calculated X-ray diffraction stick pattern of Dy5Zn. It was derived from DFT lattice parameters and positions (PBE), using CuKα.

Top 10 peaks for 2θ from 10° to 90°, by angle:
27.3°, I = 83, hkl 2 1 1
33.2°, I = 44, hkl 1 1 4
34.1°, I = 100, hkl 2 1 3
37.3°, I = 43, hkl 2 0 4
37.6°, I = 64, hkl 3 1 0
54.7°, I = 17, hkl 4 1 3
56.9°, I = 22, hkl 4 0 4
58.4°, I = 26, hkl 2 1 7
59.7°, I = 32, hkl 3 3 4
70.8°, I = 16, hkl 5 2 3

Structural model:
```
data_Dy5Zn
_cell_length_a 7.557
_cell_length_b 7.557
_cell_length_c 12.523
_cell_angle_alpha 90.00
_cell_angle_beta 90.00
_cell_angle_gamma 90.00
_space_group_name_H-M_alt 'I 4/m c m'
_space_group_IT_number 140
_space_group_name_Hall '-I 4 2c'
loop_
_atom_site_label
_atom_site_fract_x
_atom_site_fract_y
_atom_site_fract_z
Dy1 0.000 0.000 0.000
Dy2 0.158 0.342 0.144
Zn1 0.000 0.000 0.250
```



No. 2
The following is a calculated X-ray diffraction stick pattern of Dy3Zn8. It was derived from DFT lattice parameters and positions (PBE), using CuKα.

Top 10 peaks for 2θ from 10° to 90°, by angle:
22.4°, I = 14, hkl 0 1 3
33.0°, I = 15, hkl 1 1 2
34.3°, I = 54, hkl 1 0 7
35.0°, I = 100, hkl 1 1 4
40.8°, I = 33, hkl 0 2 0
42.1°, I = 50, hkl 0 1 11
51.4°, I = 17, hkl 2 0 0
54.3°, I = 29, hkl 1 2 7
67.6°, I = 14, hkl 2 2 0
68.5°, I = 21, hkl 2 1 11

Structural model:
```
data_Dy3Zn8
_cell_length_a 3.558
_cell_length_b 4.421
_cell_length_c 26.999
_cell_angle_alpha 90.00
_cell_angle_beta 90.00
_cell_angle_gamma 90.00
_space_group_name_H-M_alt 'I m m m'
_space_group_IT_number 71
_space_group_name_Hall '-I 2 2'
loop_
_atom_site_label
_atom_site_fract_x
_atom_site_fract_y
_atom_site_fract_z
Dy1 0.000 0.000 0.000
Dy2 0.000 0.500 0.144
Zn1 0.000 0.000 0.259
Zn2 0.000 0.000 0.452
Zn3 0.000 0.500 0.312
Zn4 0.000 0.500 0.406
```



No. 3
The following is a calculated X-ray diffraction stick pattern of DyZn6. It was derived from DFT lattice parameters and positions (PBE), using CuKα.

Top 10 peaks for 2θ from 10° to 90°, by angle:
31.8°, I = 46, hkl 1 1 2
33.1°, I = 17, hkl 0 0 3
34.3°, I = 100, hkl 2 0 1
38.1°, I = 32, hkl 2 1 1
40.6°, I = 67, hkl 1 1 3
42.9°, I = 38, hkl 2 1 2
46.5°, I = 28, hkl 2 2 0
57.5°, I = 22, hkl 3 1 2
71.3°, I = 27, hkl 3 1 4
82.2°, I = 19, hkl 3 3 3

Structural model:
```
data_DyZn6
_cell_length_a 5.521
_cell_length_b 5.521
_cell_length_c 8.114
_cell_angle_alpha 90.00
_cell_angle_beta 90.00
_cell_angle_gamma 90.00
_space_group_name_H-M_alt 'P 4/n b m'
_space_group_IT_number 125
loop_
_space_group_symop_operation_xyz
'x,y,z'
'-x,-y,-z'
'-y+1/2,x,z'
'y+1/2,-x,-z'
'-x+1/2,-y+1/2,z'
'x+1/2,y+1/2,-z'
'y,-x+1/2,z'
'-y,x+1/2,-z'
'x,-y+1/2,-z'
'-x,y+1/2,z'
'-y+1/2,-x+1/2,-z'
'y+1/2,x+1/2,z'
'-x+1/2,y,-z'
'x+1/2,-y,z'
'y,x,-z'
'-y,-x,z'
loop_
_atom_site_label
_atom_site_fract_x
_atom_site_fract_y
_atom_site_fract_z
Dy1 0.250 0.750 0.000
Zn1 0.076 0.576 0.361
Zn2 0.250 0.250 0.160
```



Copy entry 1 word for word.
The following is a calculated X-ray diffraction stick pattern of Dy5Zn. It was derived from DFT lattice parameters and positions (PBE), using CuKα.

Top 10 peaks for 2θ from 10° to 90°, by angle:
27.3°, I = 83, hkl 2 1 1
33.2°, I = 44, hkl 1 1 4
34.1°, I = 100, hkl 2 1 3
37.3°, I = 43, hkl 2 0 4
37.6°, I = 64, hkl 3 1 0
54.7°, I = 17, hkl 4 1 3
56.9°, I = 22, hkl 4 0 4
58.4°, I = 26, hkl 2 1 7
59.7°, I = 32, hkl 3 3 4
70.8°, I = 16, hkl 5 2 3

Structural model:
```
data_Dy5Zn
_cell_length_a 7.557
_cell_length_b 7.557
_cell_length_c 12.523
_cell_angle_alpha 90.00
_cell_angle_beta 90.00
_cell_angle_gamma 90.00
_space_group_name_H-M_alt 'I 4/m c m'
_space_group_IT_number 140
_space_group_name_Hall '-I 4 2c'
loop_
_atom_site_label
_atom_site_fract_x
_atom_site_fract_y
_atom_site_fract_z
Dy1 0.000 0.000 0.000
Dy2 0.158 0.342 0.144
Zn1 0.000 0.000 0.250
```



Please write out number 1 again, unchanged.
The following is a calculated X-ray diffraction stick pattern of Dy5Zn. It was derived from DFT lattice parameters and positions (PBE), using CuKα.

Top 10 peaks for 2θ from 10° to 90°, by angle:
27.3°, I = 83, hkl 2 1 1
33.2°, I = 44, hkl 1 1 4
34.1°, I = 100, hkl 2 1 3
37.3°, I = 43, hkl 2 0 4
37.6°, I = 64, hkl 3 1 0
54.7°, I = 17, hkl 4 1 3
56.9°, I = 22, hkl 4 0 4
58.4°, I = 26, hkl 2 1 7
59.7°, I = 32, hkl 3 3 4
70.8°, I = 16, hkl 5 2 3

Structural model:
```
data_Dy5Zn
_cell_length_a 7.557
_cell_length_b 7.557
_cell_length_c 12.523
_cell_angle_alpha 90.00
_cell_angle_beta 90.00
_cell_angle_gamma 90.00
_space_group_name_H-M_alt 'I 4/m c m'
_space_group_IT_number 140
_space_group_name_Hall '-I 4 2c'
loop_
_atom_site_label
_atom_site_fract_x
_atom_site_fract_y
_atom_site_fract_z
Dy1 0.000 0.000 0.000
Dy2 0.158 0.342 0.144
Zn1 0.000 0.000 0.250
```